Hg2SbTe2: simulated powder diffractogram (Cu Kα, 1.54184 Å), based on the GGA-PBE geometry in Alexandria.

Principal peaks in the range 2θ from 5° to 70°, sorted by position:
2θ/deg	I_rel	h k l
22.79	38	2 1 0
25.21	100	1 1 1
28.94	39	2 2 0
30.92	88	2 1 1
32.45	33	3 1 0
35.80	38	2 2 1
37.15	46	3 2 0
41.94	31	0 0 2
42.86	34	3 2 1
46.67	79	4 0 1

Crystal structure
```
data_Hg2SbTe2
_space_group_name_H-M_alt 'P 4/m b m'
_space_group_IT_number 127
_space_group_name_Hall '-P 4 2ab'
_cell_length_a 8.7263
_cell_length_b 8.7263
_cell_length_c 4.3083
_cell_angle_alpha 90.00
_cell_angle_beta 90.00
_cell_angle_gamma 90.00
loop_
_atom_site_label
_atom_site_fract_x
_atom_site_fract_y
_atom_site_fract_z
_atom_site_occupancy
Hg1 0.1100 0.3900 0.0000 1
Sb1 0.0000 0.0000 0.5000 1
Te1 0.2323 0.7323 0.5000 1
```